For NdGa3CoCu, a structure optimized by DFT (GGA-PBE) gives the calculated XRD peak list in this record (Cu Kα X-rays).

Most intense lines, 2θ from 5° to 70°, by angle:
d_spacing  I/Imax  index
3.178  24  0 0 2
3.126  27  2 0 0
2.890  41  1 3 1
2.848  47  0 4 0
2.775  57  0 2 2
2.740  48  2 2 0
2.228  100  2 0 2
1.775  25  1 5 2
1.755  49  2 4 2
1.589  18  0 0 4

Structural model:
```
data_NdGa3CoCu
_cell_length_a 6.2511
_cell_length_b 11.3902
_cell_length_c 6.3564
_cell_angle_alpha 90.00
_cell_angle_beta 90.00
_cell_angle_gamma 90.00
_space_group_name_H-M_alt 'C m c m'
_space_group_IT_number 63
_space_group_name_Hall '-C 2c 2'
loop_
_atom_site_label
_atom_site_type_symbol
_atom_site_fract_x
_atom_site_fract_y
_atom_site_fract_z
_atom_site_occupancy
Nd1 Nd 0.0000 0.2393 0.2500 1
Ga1 Ga 0.0000 0.2986 0.7500 1
Ga2 Ga 0.2107 0.0000 0.0000 1
Co1 Co 0.0000 0.1037 0.7500 1
Cu1 Cu 0.0000 0.4959 0.2500 1
```